Structure and computed powder diffractogram of Li4FeP2O8 (a crystal structure in Alexandria, relaxed with PBE+U; Cu Kα, 1.54184 Å).

Cell and atoms:
abc: 4.943 5.253 6.239
angles: 94.48 94.44 98.16
Atoms (fractional coordinates):
Li (0.146, 0.377, 0.292)
Li (0.347, 0.708, 0.986)
Li (0.653, 0.292, 0.014)
Li (0.854, 0.623, 0.708)
Fe (0.500, 0.000, 0.500)
P (0.131, 0.179, 0.768)
P (0.869, 0.821, 0.232)
O (0.184, 0.810, 0.260)
O (0.203, 0.898, 0.756)
O (0.252, 0.327, 0.986)
O (0.272, 0.307, 0.580)
O (0.728, 0.693, 0.420)
O (0.748, 0.673, 0.014)
O (0.797, 0.102, 0.244)
O (0.816, 0.190, 0.740)

Principal peaks in the range 10 to 90 degrees two-theta, in order of falling intensity:
two_theta	d_spacing	I (rel.)
21.35	4.162	100.0
17.12	5.178	66.1
24.23	3.673	51.9
36.82	2.441	31.8
32.13	2.786	30.9
32.84	2.727	29.8
37.32	2.409	26.0
35.71	2.514	23.7
14.30	6.195	20.0
27.28	3.269	19.9